Calculated XRD peak list of LaGa2Ni2 for CuKα, from a PBE-relaxed structure.

Top 10 peaks for 10 to 90 degrees two-theta, by angle:
- hkl 0 0 4, 3.250 Å, 2θ = 27.44°, I = 17
- hkl 1 1 3, 3.184 Å, 2θ = 28.03°, I = 17
- hkl 1 3 1, 2.864 Å, 2θ = 31.23°, I = 20
- hkl 0 4 0, 2.661 Å, 2θ = 33.68°, I = 27
- hkl 2 0 2, 2.428 Å, 2θ = 37.02°, I = 100
- hkl 1 1 5, 2.274 Å, 2θ = 39.63°, I = 19
- hkl 1 3 5, 1.947 Å, 2θ = 46.66°, I = 43
- hkl 2 4 2, 1.793 Å, 2θ = 50.94°, I = 15
- hkl 1 3 7, 1.570 Å, 2θ = 58.83°, I = 13
- hkl 3 3 5, 1.341 Å, 2θ = 70.21°, I = 12

Crystal structure
```
data_LaGa2Ni2
_chemical_formula_sum 'La8 Ga16 Ni16'
_cell_length_a 5.230
_cell_length_b 10.643
_cell_length_c 13.000
_cell_angle_alpha 90.00
_cell_angle_beta 90.00
_cell_angle_gamma 90.00
_symmetry_space_group_name_H-M 'F d d d'
_symmetry_Int_Tables_number 70
loop_
_symmetry_equiv_pos_as_xyz
'x,y,z'
'-x,-y,-z'
'-x+1/4,-y+1/4,z'
'x+1/4,y+1/4,-z'
'x,-y+1/4,-z+1/4'
'-x,y+1/4,z+1/4'
'-x+1/4,y,-z+1/4'
'x+1/4,-y,z+1/4'
'x,y+1/2,z+1/2'
'-x,-y+1/2,-z+1/2'
'-x+1/4,-y+3/4,z+1/2'
'x+1/4,y+3/4,-z+1/2'
'x,-y+3/4,-z+3/4'
'-x,y+3/4,z+3/4'
'-x+1/4,y+1/2,-z+3/4'
'x+1/4,-y+1/2,z+3/4'
'x+1/2,y,z+1/2'
'-x+1/2,-y,-z+1/2'
'-x+3/4,-y+1/4,z+1/2'
'x+3/4,y+1/4,-z+1/2'
'x+1/2,-y+1/4,-z+3/4'
'-x+1/2,y+1/4,z+3/4'
'-x+3/4,y,-z+3/4'
'x+3/4,-y,z+3/4'
'x+1/2,y+1/2,z'
'-x+1/2,-y+1/2,-z'
'-x+3/4,-y+3/4,z'
'x+3/4,y+3/4,-z'
'x+1/2,-y+3/4,-z+1/4'
'-x+1/2,y+3/4,z+1/4'
'-x+3/4,y+1/2,-z+1/4'
'x+3/4,-y+1/2,z+1/4'
loop_
_atom_site_label
_atom_site_type_symbol
_atom_site_fract_x
_atom_site_fract_y
_atom_site_fract_z
La1 La 0.125 0.125 0.125
Ga1 Ga 0.125 0.318 0.625
Ni1 Ni 0.125 0.125 0.524
```

Calculated XRD peak list of TlTc3 for CuKα, from a PBE-relaxed structure.

Top 10 peaks for 10 to 90 degrees two-theta, by angle:
- hkl 1 0 1, 2.707 Å, 2θ = 33.09°, I = 12
- hkl 0 0 3, 2.661 Å, 2θ = 33.68°, I = 7
- hkl 1 0 2, 2.334 Å, 2θ = 38.57°, I = 100
- hkl 1 1 0, 2.035 Å, 2θ = 44.52°, I = 35
- hkl 0 0 4, 1.996 Å, 2θ = 45.44°, I = 13
- hkl 2 0 0, 1.439 Å, 2θ = 64.79°, I = 11
- hkl 1 1 4, 1.425 Å, 2θ = 65.51°, I = 17
- hkl 2 1 2, 1.225 Å, 2θ = 78.01°, I = 25
- hkl 1 0 6, 1.208 Å, 2θ = 79.33°, I = 8
- hkl 2 0 4, 1.167 Å, 2θ = 82.67°, I = 9

Crystal structure
```
data_TlTc3
_chemical_formula_sum 'Tl1 Tc3'
_cell_length_a 2.878
_cell_length_b 2.878
_cell_length_c 7.984
_cell_angle_alpha 90.00
_cell_angle_beta 90.00
_cell_angle_gamma 90.00
_symmetry_space_group_name_H-M 'P 4/m m m'
_symmetry_Int_Tables_number 123
_symmetry_space_group_name_Hall '-P 4 2'
loop_
_atom_site_label
_atom_site_type_symbol
_atom_site_fract_x
_atom_site_fract_y
_atom_site_fract_z
Tl1 Tl 0.000 0.000 0.000
Tc1 Tc 0.000 0.000 0.500
Tc2 Tc 0.500 0.500 0.280
```

Calculated XRD peak list of CaLa3Si8 for CuKα, from a PBE-relaxed structure.

Top 10 peaks for 10 to 90 degrees two-theta, by angle:
- hkl 1 0 1, 4.170 Å, 2θ = 21.31°, I = 30
- hkl 1 0 3, 3.142 Å, 2θ = 28.41°, I = 48
- hkl 1 1 2, 2.817 Å, 2θ = 31.76°, I = 100
- hkl 1 0 5, 2.301 Å, 2θ = 39.15°, I = 39
- hkl 2 0 0, 2.192 Å, 2θ = 41.19°, I = 36
- hkl 2 1 3, 1.798 Å, 2θ = 50.79°, I = 19
- hkl 1 0 7, 1.767 Å, 2θ = 51.74°, I = 16
- hkl 2 1 5, 1.587 Å, 2θ = 58.13°, I = 24
- hkl 2 1 7, 1.376 Å, 2θ = 68.17°, I = 14
- hkl 3 1 2, 1.358 Å, 2θ = 69.18°, I = 20

Crystal structure
```
data_CaLa3Si8
_chemical_formula_sum 'Ca1 La3 Si8'
_cell_length_a 4.384
_cell_length_b 4.384
_cell_length_c 13.516
_cell_angle_alpha 90.00
_cell_angle_beta 90.00
_cell_angle_gamma 90.00
_symmetry_space_group_name_H-M 'P -4 m 2'
_symmetry_Int_Tables_number 115
loop_
_symmetry_equiv_pos_as_xyz
'x,y,z'
'y,-x,-z'
'-x,-y,z'
'-y,x,-z'
'-x,y,z'
'-y,-x,-z'
'x,-y,z'
'y,x,-z'
loop_
_atom_site_label
_atom_site_type_symbol
_atom_site_fract_x
_atom_site_fract_y
_atom_site_fract_z
Ca1 Ca 0.000 0.000 0.000
La1 La 0.000 0.500 0.752
La2 La 0.500 0.500 0.500
Si1 Si 0.000 0.000 0.414
Si2 Si 0.000 0.500 0.163
Si3 Si 0.000 0.500 0.335
Si4 Si 0.500 0.500 0.086
```